The following is a calculated powder X-ray diffraction pattern of Li3HfF7. It was derived from a GGA-PBE-relaxed structure, using CuKα.

Peak list (10 most intense, 2θ from 10° to 90°, by intensity)
2θ 18.3, 4.850 Å, rel. 100
2θ 20.0, 4.444 Å, rel. 92
2θ 18.4, 4.823 Å, rel. 42
2θ 30.4, 2.938 Å, rel. 29
2θ 31.0, 2.882 Å, rel. 22
2θ 40.6, 2.222 Å, rel. 21
2θ 23.6, 3.768 Å, rel. 20
2θ 24.0, 3.704 Å, rel. 20
2θ 27.8, 3.208 Å, rel. 20
2θ 49.2, 1.854 Å, rel. 19

Structural model:
Lattice parameters (Å, degrees): 5.3131 5.3131 5.7278 112.75 112.75 88.39
Atoms (fractional coordinates):
Li  0.0000  0.0000  0.0000
Li  0.4208  0.9444  0.8395
Li  0.9444  0.4208  0.8395
Hf  0.6039  0.6039  0.2501
F  0.2723  0.7272  0.9841
F  0.2734  0.2734  0.0418
F  0.3856  0.7604  0.4784
F  0.7272  0.2723  0.9841
F  0.7604  0.3856  0.4784
F  0.7707  0.7707  0.0545
F  0.8969  0.8969  0.5863